This entry pairs a crystal structure of MgFe8O8F8 with its theoretical powder X-ray diffraction pattern. Radiation: Cu Kα. Structure: a crystal structure in the Materials Project, relaxed with GGA+U.
Lines closer than 0.1° are merged.

Structural model:
```
data_MgFe8O8F8
_chemical_formula_sum 'Mg1 Fe8 O8 F8'
_space_group_name_H-M_alt 'P 1'
_space_group_IT_number 1
_cell_length_a 9.894
_cell_length_b 3.147
_cell_length_c 9.898
_cell_angle_alpha 90.00
_cell_angle_beta 91.53
_cell_angle_gamma 90.00
loop_
_space_group_symop_operation_xyz
'x,y,z'
loop_
_atom_site_label
_atom_site_fract_x
_atom_site_fract_y
_atom_site_fract_z
Mg1 0.000 0.000 0.000
Fe1 0.018 0.000 0.685
Fe2 0.247 0.500 0.484
Fe3 0.281 0.500 0.975
Fe4 0.516 0.000 0.247
Fe5 0.530 0.000 0.714
Fe6 0.686 0.500 0.990
Fe7 0.730 0.500 0.481
Fe8 0.968 0.000 0.380
O1 0.113 0.500 0.646
O2 0.151 0.000 0.394
O3 0.582 0.500 0.143
O4 0.616 0.500 0.640
O5 0.636 0.000 0.887
O6 0.638 0.000 0.397
O7 0.868 0.000 0.562
O8 0.873 0.500 0.333
F1 0.086 0.500 0.085
F2 0.162 0.000 0.881
F3 0.354 0.000 0.089
F4 0.369 0.000 0.588
F5 0.401 0.500 0.326
F6 0.414 0.500 0.817
F7 0.821 0.000 0.068
F8 0.933 0.500 0.863
```

Main lines, low angle first (2θ from 10° to 80°):
Position (°2θ)  Rel. int.
17.93  28
25.12  54
25.81  75
27.04  22
32.22  27
33.76  100
38.72  33
40.34  24
50.04  30
50.81  44
58.67  25
63.73  33



This entry pairs a crystal structure of RbSmMo2O8 with its theoretical powder X-ray diffraction pattern. Radiation: Cu Kα. Structure: a crystal structure in the Materials Project, relaxed with GGA+U.
Lines closer than 0.1° are merged.

Structural model:
```
data_RbSmMo2O8
_chemical_formula_sum 'Rb2 Sm2 Mo4 O16'
_space_group_name_H-M_alt 'P 1'
_space_group_IT_number 1
_cell_length_a 7.628
_cell_length_b 7.628
_cell_length_c 7.853
_cell_angle_alpha 118.09
_cell_angle_beta 118.09
_cell_angle_gamma 88.71
loop_
_space_group_symop_operation_xyz
'x,y,z'
loop_
_atom_site_label
_atom_site_fract_x
_atom_site_fract_y
_atom_site_fract_z
Rb1 0.199 0.801 0.750
Rb2 0.801 0.199 0.250
Sm1 0.230 0.770 0.250
Sm2 0.770 0.230 0.750
Mo1 0.304 0.306 0.762
Mo2 0.306 0.304 0.262
Mo3 0.694 0.696 0.738
Mo4 0.696 0.694 0.238
O1 0.052 0.207 0.692
O2 0.072 0.384 0.129
O3 0.207 0.052 0.192
O4 0.236 0.384 0.563
O5 0.369 0.582 0.027
O6 0.384 0.072 0.629
O7 0.384 0.236 0.063
O8 0.418 0.631 0.473
O9 0.582 0.369 0.527
O10 0.616 0.764 0.937
O11 0.616 0.928 0.371
O12 0.631 0.418 0.973
O13 0.764 0.616 0.437
O14 0.793 0.948 0.808
O15 0.928 0.616 0.871
O16 0.948 0.793 0.308
```

Main lines, low angle first (2θ from 10° to 80°):
Position (°2θ)  Rel. int.
14.03  15
27.39  100
28.29  65
30.25  31
32.88  10
33.61  11
33.82  10
45.84  17
50.39  10
51.50  10
53.04  14
54.55  9



This entry pairs a crystal structure of LiV4P3O12 with its theoretical powder X-ray diffraction pattern. Radiation: Cu Kα. Structure: a crystal structure in the Materials Project, relaxed with GGA+U.
Lines closer than 0.1° are merged.

Structural model:
```
data_LiV4P3O12
_chemical_formula_sum 'Li2 V8 P6 O24'
_space_group_name_H-M_alt 'P 1'
_space_group_IT_number 1
_cell_length_a 8.231
_cell_length_b 8.231
_cell_length_c 10.244
_cell_angle_alpha 90.00
_cell_angle_beta 90.00
_cell_angle_gamma 131.87
loop_
_space_group_symop_operation_xyz
'x,y,z'
loop_
_atom_site_label
_atom_site_fract_x
_atom_site_fract_y
_atom_site_fract_z
Li1 0.024 0.976 0.500
Li2 0.976 0.024 0.000
V1 0.048 0.459 0.502
V2 0.366 0.634 0.190
V3 0.369 0.631 0.812
V4 0.459 0.048 0.002
V5 0.541 0.952 0.502
V6 0.631 0.369 0.312
V7 0.634 0.366 0.690
V8 0.952 0.541 0.002
P1 0.185 0.815 0.290
P2 0.185 0.815 0.716
P3 0.478 0.522 0.548
P4 0.522 0.478 0.048
P5 0.815 0.185 0.216
P6 0.815 0.185 0.790
O1 0.052 0.319 0.178
O2 0.052 0.319 0.828
O3 0.216 0.784 0.141
O4 0.216 0.784 0.866
O5 0.236 0.373 0.501
O6 0.279 0.721 0.364
O7 0.279 0.721 0.641
O8 0.319 0.052 0.328
O9 0.319 0.052 0.678
O10 0.373 0.236 0.001
O11 0.424 0.576 0.000
O12 0.488 0.512 0.700
O13 0.512 0.488 0.200
O14 0.576 0.424 0.500
O15 0.627 0.764 0.501
O16 0.681 0.948 0.178
O17 0.681 0.948 0.828
O18 0.721 0.279 0.141
O19 0.721 0.279 0.864
O20 0.764 0.627 0.001
O21 0.784 0.216 0.366
O22 0.784 0.216 0.641
O23 0.948 0.681 0.328
O24 0.948 0.681 0.678
```

Main lines, low angle first (2θ from 10° to 80°):
Position (°2θ)  Rel. int.
11.78  100
14.45  72
26.56  15
28.72  80
29.48  33
30.45  20
31.88  46
34.10  40
36.94  41
52.91  16
53.83  17
54.70  16



> Which formula does entry 3 have?

LiV4P3O12